# 1
The following is a computed powder XRD pattern of CdPbBr. It was derived from a DFT-relaxed cell (GGA-PBE, Alexandria), using Cu Kα (weighted mean of Kα1 and Kα2).
Intensities are scaled so that the largest is 1000.

Crystal structure
```
CdPbBr
1.0
15.602 0.000 0.000
0.000 3.765 0.000
0.000 0.000 6.502
Cd Pb Br
4 4 4
Cartesian
0.000 0.000 0.000
0.000 1.882 3.251
7.801 0.000 1.457
7.801 1.882 4.708
5.510 0.000 5.786
5.510 1.882 2.535
10.092 0.000 5.786
10.092 1.882 2.535
1.796 0.000 2.171
1.796 1.882 5.422
13.806 0.000 2.171
13.806 1.882 5.422
```

Top 8 peaks for 2θ from 10° to 90°, in order of rising 2θ:
2θ/deg, d/Å, I (rel.)
17.05, 5.201, 189
27.40, 3.255, 408
27.99, 3.188, 172
32.44, 2.760, 1000
35.95, 2.498, 273
40.02, 2.253, 179
44.59, 2.032, 168
48.84, 1.865, 174

# 2
The following is a computed powder XRD pattern of Cd3Pb5Br16. It was derived from a DFT-relaxed cell (GGA-PBE, Alexandria), using Cu Kα (weighted mean of Kα1 and Kα2).
Intensities are scaled so that the largest is 1000.

Crystal structure
```
Cd3Pb5Br16
1.0
7.519 -4.263 0.000
7.519 4.263 0.000
-0.300 0.000 13.798
Cd Pb Br
3 5 16
Cartesian
0.000 0.000 0.000
6.112 2.122 6.830
6.112 -2.122 6.830
2.335 0.000 3.658
7.185 0.000 10.440
10.943 2.128 13.750
9.857 0.000 6.860
10.943 -2.128 13.750
3.813 2.204 5.198
1.973 0.000 12.104
6.012 2.265 12.183
8.670 2.275 1.662
8.332 2.090 8.555
4.797 0.000 1.830
4.939 0.000 8.378
7.209 0.000 5.271
3.813 -2.204 5.198
9.868 0.000 11.851
6.012 -2.265 12.183
8.332 -2.090 8.555
12.504 0.000 8.365
8.670 -2.275 1.662
12.690 0.000 1.592
14.755 0.000 5.330
```

Top 8 peaks for 2θ from 10° to 90°, in order of rising 2θ:
2θ/deg, d/Å, I (rel.)
13.51, 6.554, 824
24.53, 3.629, 674
27.21, 3.278, 648
27.43, 3.252, 611
30.81, 2.902, 593
31.11, 2.874, 958
40.98, 2.202, 594
41.82, 2.160, 1000

# 3
The following is a computed powder XRD pattern of Cd3PbBr8. It was derived from a DFT-relaxed cell (GGA-PBE, Alexandria), using Cu Kα (weighted mean of Kα1 and Kα2).
Intensities are scaled so that the largest is 1000.

Crystal structure
```
Cd3PbBr8
1.0
7.201 -4.175 0.000
7.201 4.175 0.000
-4.845 0.000 6.834
Cd Pb Br
3 1 8
Cartesian
0.000 0.000 0.000
1.178 2.087 3.417
1.178 -2.087 3.417
7.201 0.000 0.000
3.454 2.227 5.097
6.102 2.227 1.736
0.001 0.000 4.927
2.248 0.000 1.777
7.308 0.000 5.057
9.555 0.000 1.907
3.454 -2.227 5.097
6.102 -2.227 1.736
```

Top 8 peaks for 2θ from 10° to 90°, in order of rising 2θ:
2θ/deg, d/Å, I (rel.)
13.00, 6.808, 983
24.99, 3.563, 341
25.07, 3.552, 186
30.23, 2.957, 1000
30.44, 2.937, 494
43.36, 2.087, 539
43.49, 2.081, 354
53.88, 1.702, 272

# 4
The following is a computed powder XRD pattern of Cd2PbBr2. It was derived from a DFT-relaxed cell (GGA-PBE, Alexandria), using Cu Kα (weighted mean of Kα1 and Kα2).
Intensities are scaled so that the largest is 1000.

Crystal structure
```
Cd2PbBr2
1.0
4.006 0.000 0.000
0.000 4.006 0.000
0.000 0.000 19.965
Cd Pb Br
4 2 4
Cartesian
0.000 2.003 4.991
0.000 2.003 14.973
2.003 0.000 4.991
2.003 0.000 14.973
0.000 0.000 0.000
2.003 2.003 9.982
0.000 0.000 8.253
0.000 0.000 11.712
2.003 2.003 1.730
2.003 2.003 18.235
```

Top 8 peaks for 2θ from 10° to 90°, in order of rising 2θ:
2θ/deg, d/Å, I (rel.)
17.77, 4.991, 491
25.96, 3.432, 319
31.63, 2.828, 573
32.87, 2.725, 1000
38.76, 2.323, 273
45.27, 2.003, 280
56.28, 1.635, 208
56.38, 1.632, 239

# 5
The following is a computed powder XRD pattern of Cd2Pb2Br7. It was derived from a DFT-relaxed cell (GGA-PBE, Alexandria), using Cu Kα (weighted mean of Kα1 and Kα2).
Intensities are scaled so that the largest is 1000.

Crystal structure
```
Cd2Pb2Br7
1.0
4.843 -6.192 0.000
4.843 6.192 0.000
-1.236 0.000 7.502
Cd Pb Br
2 2 7
Cartesian
2.267 0.000 0.682
6.183 0.000 6.820
4.225 3.814 3.751
4.225 -3.814 3.751
1.968 2.354 2.035
-0.025 0.000 5.578
1.968 -2.354 2.035
4.843 0.000 0.000
6.483 2.354 5.467
8.475 0.000 1.924
6.483 -2.354 5.467
```

Top 8 peaks for 2θ from 10° to 90°, in order of rising 2θ:
2θ/deg, d/Å, I (rel.)
11.70, 7.567, 352
17.69, 5.014, 451
18.58, 4.776, 1000
20.35, 4.365, 357
27.74, 3.215, 345
29.52, 3.026, 367
34.72, 2.584, 421
40.44, 2.230, 381

# 6
The following is a computed powder XRD pattern of CdRhPb2Br. It was derived from a DFT-relaxed cell (GGA-PBE, Alexandria), using Cu Kα (weighted mean of Kα1 and Kα2).
Intensities are scaled so that the largest is 1000.

Crystal structure
```
CdRhPb2Br
1.0
5.252 0.000 0.000
0.000 5.252 0.000
0.000 0.000 5.302
Cd Rh Pb Br
1 1 2 1
Cartesian
0.000 0.000 0.000
0.000 0.000 2.651
0.000 2.626 2.651
2.626 0.000 2.651
2.626 2.626 0.000
```

Top 8 peaks for 2θ from 10° to 90°, in order of rising 2θ:
2θ/deg, d/Å, I (rel.)
16.72, 5.302, 371
29.36, 3.042, 1000
33.81, 2.651, 352
34.15, 2.626, 686
48.82, 1.866, 502
49.06, 1.857, 247
58.21, 1.585, 297
60.92, 1.521, 259